Entry 1:
Simulated X-ray powder pattern
Compound: ErTm4Pb2
Radiation: Cu Kα X-rays
Structure: a crystal structure in Alexandria, relaxed with GGA-PBE
Peak positions follow from Bragg's law for the DFT cell and can differ from measured ones.

Atomic structure:
```
data_ErTm4Pb2
_symmetry_space_group_name_H-M 'P 1 21/m 1'
_symmetry_Int_Tables_number 11
_symmetry_space_group_name_Hall '-P 2yb'
_cell_length_a 8.0166
_cell_length_b 6.5092
_cell_length_c 8.6166
_cell_angle_alpha 90.00
_cell_angle_beta 114.20
_cell_angle_gamma 90.00
loop_
_atom_site_label
_atom_site_fract_x
_atom_site_fract_y
_atom_site_fract_z
_atom_site_occupancy
Er1 0.1017 0.2500 0.3618 1
Tm1 0.1778 0.7500 0.0695 1
Tm2 0.3358 0.0033 0.7779 1
Tm3 0.4551 0.7500 0.4815 1
Pb1 0.0501 0.7500 0.3695 1
Pb2 0.2783 0.2500 0.0957 1
```

Peak list (10 most intense, 10° ≤ 2θ ≤ 90°, most intense first)
hkl, 2θ (°), d/Å, I/Imax
1 0 -3, 31.19, 2.868, 100.0
2 0 1, 30.92, 2.892, 77.6
1 2 1, 33.95, 2.641, 57.5
3 0 -2, 34.44, 2.604, 54.7
1 2 -1, 30.31, 2.948, 50.9
0 2 2, 35.82, 2.507, 37.6
2 2 -1, 35.56, 2.525, 32.3
0 2 0, 27.40, 3.255, 30.4
1 4 -3, 66.01, 1.415, 28.1
3 1 -2, 37.19, 2.418, 25.1

Entry 2:
Simulated X-ray powder pattern
Compound: Er3TmPb5
Radiation: Cu Kα X-rays
Structure: a crystal structure in Alexandria, relaxed with GGA-PBE
Peak positions follow from Bragg's law for the DFT cell and can differ from measured ones.

Atomic structure:
```
data_Er3TmPb5
_symmetry_space_group_name_H-M 'P 63/m c m'
_symmetry_Int_Tables_number 193
_symmetry_space_group_name_Hall '-P 6c 2'
_cell_length_a 9.4735
_cell_length_b 9.4735
_cell_length_c 6.5094
_cell_angle_alpha 90.00
_cell_angle_beta 90.00
_cell_angle_gamma 120.00
loop_
_atom_site_label
_atom_site_fract_x
_atom_site_fract_y
_atom_site_fract_z
_atom_site_occupancy
Er1 0.0000 0.3814 0.2500 1
Tm1 0.0000 0.0000 0.0000 1
Pb1 0.0000 0.2871 0.7500 1
Pb2 0.3333 0.6667 0.0000 1
```

Peak list (10 most intense, 10° ≤ 2θ ≤ 90°, most intense first)
hkl, 2θ (°), d/Å, I/Imax
1 1 2, 33.40, 2.682, 100.0
3 0 0, 32.75, 2.735, 89.6
2 1 1, 31.97, 2.799, 38.0
2 2 2, 47.48, 1.915, 29.7
4 1 2, 58.86, 1.569, 29.4
3 0 4, 66.90, 1.399, 25.0
3 1 1, 42.07, 2.148, 13.9
5 2 2, 78.49, 1.219, 13.0
4 2 1, 61.48, 1.508, 11.8
2 1 3, 51.40, 1.778, 10.2